Record 1
Starting from a PBE-relaxed structure, the powder XRD pattern of Tb2ThPaC4 was computed for Cu Kα, 1.54184 Å.
Peak positions follow from Bragg's law for the DFT cell and can differ from measured ones.

Structural model:
Unit cell a=6.2728 b=3.6785 c=6.3408 alpha=90.00 beta=109.34 gamma=90.00
Fractional coordinates of all 8 atoms:
Tb1 0.0000 0.0000 0.0000
Tb2 0.0000 0.5000 0.5000
Th1 0.5000 0.0000 0.5000
Pa1 0.5000 0.5000 0.0000
C1 0.2632 0.5000 0.2399
C2 0.2689 0.0000 0.7666
C3 0.7311 0.0000 0.2334
C4 0.7368 0.5000 0.7601

Main lines, in order of rising 2θ (10° ≤ 2θ ≤ 90°):
d_spacing  2theta  Rel. int.
2.992  29.86  1000
2.959  30.20  325
2.590  34.64  570
2.573  34.88  280
1.833  49.75  204
1.818  50.19  199
1.567  58.95  104
1.562  59.15  207
1.553  59.51  204
1.496  62.04  158

---

Record 2
Starting from a PBE-relaxed structure, the powder XRD pattern of ThPa2TcC4 was computed for Cu Kα, 1.54184 Å.
Peak positions follow from Bragg's law for the DFT cell and can differ from measured ones.

Structural model:
Unit cell a=6.2669 b=6.2669 c=11.8272 alpha=90.00 beta=90.00 gamma=146.55
Fractional coordinates of all 16 atoms:
Th1 0.1109 0.8891 0.7500
Th2 0.8891 0.1109 0.2500
Pa1 0.3675 0.6325 0.5468
Pa2 0.3675 0.6325 0.9532
Pa3 0.6325 0.3675 0.0468
Pa4 0.6325 0.3675 0.4532
Tc1 0.1487 0.8513 0.2500
Tc2 0.8513 0.1487 0.7500
C1 0.0000 0.0000 0.0000
C2 0.0000 0.0000 0.5000
C3 0.2657 0.7343 0.1259
C4 0.2657 0.7343 0.3741
C5 0.4419 0.5581 0.7500
C6 0.5581 0.4419 0.2500
C7 0.7343 0.2657 0.6259
C8 0.7343 0.2657 0.8741

Main lines, in order of rising 2θ (10° ≤ 2θ ≤ 90°):
d_spacing  2theta  Rel. int.
3.295  27.06  632
3.001  29.77  588
2.983  29.96  1000
2.957  30.23  284
2.613  34.32  228
2.440  36.83  743
2.106  42.94  198
1.952  46.53  244
1.893  48.05  244
1.783  51.23  251

---

Record 3
Starting from a PBE-relaxed structure, the powder XRD pattern of Pa4Te5C2 was computed for Cu Kα, 1.54184 Å.
Peak positions follow from Bragg's law for the DFT cell and can differ from measured ones.

Structural model:
Unit cell a=9.9844 b=9.9844 c=9.9844 alpha=156.84 beta=132.02 gamma=53.92
Fractional coordinates of all 11 atoms:
Pa1 0.1693 0.1693 0.0000
Pa2 0.1959 0.5000 0.6959
Pa3 0.8041 0.5000 0.3041
Pa4 0.8307 0.8307 0.0000
Te1 0.1192 0.3335 0.7857
Te2 0.4522 0.6665 0.7857
Te3 0.5000 0.0000 0.5000
Te4 0.5478 0.3335 0.2143
Te5 0.8808 0.6665 0.2143
C1 0.0402 0.0402 0.0000
C2 0.9598 0.9598 0.0000

Main lines, in order of rising 2θ (10° ≤ 2θ ≤ 90°):
d_spacing  2theta  Rel. int.
3.331  26.76  583
2.966  30.13  753
2.816  31.78  1000
2.796  32.01  298
2.462  36.49  617
2.226  40.53  542
2.004  45.25  279
1.898  47.93  281
1.661  55.32  278
1.554  59.47  307

---

Record 4
Starting from a PBE-relaxed structure, the powder XRD pattern of Pa3Te3C was computed for Cu Kα, 1.54184 Å.
Peak positions follow from Bragg's law for the DFT cell and can differ from measured ones.

Structural model:
Unit cell a=7.4492 b=7.4492 c=7.3999 alpha=97.16 beta=97.16 gamma=109.63
Fractional coordinates of all 14 atoms:
Pa1 0.0986 0.0986 0.3242
Pa2 0.1394 0.4371 0.7919
Pa3 0.4371 0.1394 0.7919
Pa4 0.5629 0.8606 0.2081
Pa5 0.8606 0.5629 0.2081
Pa6 0.9014 0.9014 0.6758
Te1 0.1636 0.8364 0.0000
Te2 0.2571 0.7429 0.5000
Te3 0.4005 0.4005 0.1625
Te4 0.5995 0.5995 0.8375
Te5 0.7429 0.2571 0.5000
Te6 0.8364 0.1636 0.0000
C1 0.1668 0.1668 0.6399
C2 0.8332 0.8332 0.3601

Main lines, in order of rising 2θ (10° ≤ 2θ ≤ 90°):
d_spacing  2theta  Rel. int.
5.505  16.10  153
3.391  26.28  178
3.143  28.40  1000
2.749  32.57  878
2.483  36.17  190
2.463  36.48  184
2.455  36.60  145
2.411  37.29  245
2.167  41.67  225
2.029  44.66  162

---

Record 5
Starting from a PBE-relaxed structure, the powder XRD pattern of PaTiTe2C was computed for Cu Kα, 1.54184 Å.
Peak positions follow from Bragg's law for the DFT cell and can differ from measured ones.

Structural model:
Unit cell a=3.9744 b=3.9744 c=14.0612 alpha=90.00 beta=90.00 gamma=90.00
Fractional coordinates of all 10 atoms:
Pa1 0.2500 0.2500 0.0831
Pa2 0.7500 0.7500 0.9169
Ti1 0.2500 0.2500 0.5823
Ti2 0.7500 0.7500 0.4177
Te1 0.2500 0.2500 0.3852
Te2 0.2500 0.2500 0.7873
Te3 0.7500 0.7500 0.2127
Te4 0.7500 0.7500 0.6148
C1 0.2500 0.7500 0.0000
C2 0.7500 0.2500 0.0000

Main lines, in order of rising 2θ (10° ≤ 2θ ≤ 90°):
d_spacing  2theta  Rel. int.
3.031  29.47  1000
2.810  31.84  770
2.633  34.05  460
1.987  45.65  310
1.800  50.72  193
1.662  55.27  356
1.634  56.29  128
1.586  58.16  198
1.257  75.66  167
1.103  88.71  122

---

Record 6
Starting from a PBE-relaxed structure, the powder XRD pattern of UPaTe2C was computed for Cu Kα, 1.54184 Å.
Peak positions follow from Bragg's law for the DFT cell and can differ from measured ones.

Structural model:
Unit cell a=4.1665 b=4.1665 c=14.5602 alpha=90.00 beta=90.00 gamma=90.00
Fractional coordinates of all 10 atoms:
U1 0.2500 0.2500 0.0897
U2 0.7500 0.7500 0.9103
Pa1 0.2500 0.2500 0.5743
Pa2 0.7500 0.7500 0.4257
Te1 0.2500 0.2500 0.3016
Te2 0.2500 0.2500 0.8727
Te3 0.7500 0.7500 0.1273
Te4 0.7500 0.7500 0.6984
C1 0.2500 0.7500 0.5000
C2 0.7500 0.2500 0.5000

Main lines, in order of rising 2θ (10° ≤ 2θ ≤ 90°):
d_spacing  2theta  Rel. int.
7.280  12.16  170
3.616  24.62  239
2.946  30.34  1000
2.741  32.67  933
2.290  39.34  202
2.083  43.44  427
1.873  48.61  176
1.659  55.39  427
1.473  63.12  167
1.318  71.62  179

---

Record 7
Starting from a PBE-relaxed structure, the powder XRD pattern of ThPaC was computed for Cu Kα, 1.54184 Å.
Peak positions follow from Bragg's law for the DFT cell and can differ from measured ones.

Structural model:
Unit cell a=3.5455 b=3.5455 c=6.0764 alpha=90.00 beta=90.00 gamma=120.00
Fractional coordinates of all 3 atoms:
Th1 0.0000 0.0000 0.0000
Pa1 0.3333 0.6667 0.5187
C1 0.6667 0.3333 0.7355

Main lines, in order of rising 2θ (10° ≤ 2θ ≤ 90°):
d_spacing  2theta  Rel. int.
3.070  29.08  203
3.038  29.40  274
2.740  32.68  1000
2.160  41.83  192
1.773  51.55  199
1.691  54.25  243
1.531  60.46  228
1.488  62.39  163
1.154  83.88  96
1.140  85.11  143

---

Record 8
Starting from a PBE-relaxed structure, the powder XRD pattern of Th3PaC4 was computed for Cu Kα, 1.54184 Å.
Peak positions follow from Bragg's law for the DFT cell and can differ from measured ones.

Structural model:
Unit cell a=6.4888 b=6.4888 c=3.7317 alpha=90.00 beta=90.00 gamma=109.76
Fractional coordinates of all 8 atoms:
Th1 0.0000 0.0000 0.0000
Th2 0.0000 0.5000 0.5000
Th3 0.5000 0.0000 0.5000
Pa1 0.5000 0.5000 0.0000
C1 0.2585 0.7415 0.0000
C2 0.2685 0.2685 0.5000
C3 0.7315 0.7315 0.5000
C4 0.7415 0.2585 0.0000

Main lines, in order of rising 2θ (10° ≤ 2θ ≤ 90°):
d_spacing  2theta  Rel. int.
3.053  29.25  1000
2.654  33.78  211
2.639  33.97  415
1.871  48.66  305
1.866  48.80  151
1.599  57.66  161
1.592  57.92  317
1.527  60.67  159
1.214  78.84  134
1.181  81.49  105

---

Record 9
Starting from a PBE-relaxed structure, the powder XRD pattern of Th4PaC5 was computed for Cu Kα, 1.54184 Å.
Peak positions follow from Bragg's law for the DFT cell and can differ from measured ones.

Structural model:
Unit cell a=6.4971 b=6.4971 c=6.4971 alpha=99.54 beta=99.54 gamma=131.95
Fractional coordinates of all 10 atoms:
Th1 0.1011 0.7007 0.8018
Th2 0.2993 0.1011 0.4004
Th3 0.7007 0.8989 0.5996
Th4 0.8989 0.2993 0.1982
Pa1 0.4997 0.4997 0.0000
C1 0.0009 0.0009 0.0000
C2 0.2193 0.4049 0.6243
C3 0.4049 0.7806 0.1856
C4 0.5950 0.2193 0.8144
C5 0.7806 0.5950 0.3757

Main lines, in order of rising 2θ (10° ≤ 2θ ≤ 90°):
d_spacing  2theta  Rel. int.
3.061  29.17  1000
2.654  33.77  418
2.645  33.89  208
1.874  48.57  456
1.600  57.61  320
1.596  57.77  158
1.531  60.49  159
1.216  78.71  133
1.186  81.05  140
1.184  81.28  70

---

Record 10
Starting from a PBE-relaxed structure, the powder XRD pattern of Y2ThPaC4 was computed for Cu Kα, 1.54184 Å.
Peak positions follow from Bragg's law for the DFT cell and can differ from measured ones.

Structural model:
Unit cell a=6.2609 b=3.6769 c=6.3351 alpha=90.00 beta=109.36 gamma=90.00
Fractional coordinates of all 8 atoms:
Y1 0.0000 0.0000 0.0000
Y2 0.0000 0.5000 0.5000
Th1 0.5000 0.0000 0.5000
Pa1 0.5000 0.5000 0.0000
C1 0.2625 0.5000 0.2395
C2 0.2684 0.0000 0.7661
C3 0.7316 0.0000 0.2339
C4 0.7375 0.5000 0.7605

Main lines, in order of rising 2θ (10° ≤ 2θ ≤ 90°):
d_spacing  2theta  Rel. int.
5.907  15.00  340
3.132  28.50  152
2.990  29.89  1000
2.953  30.26  324
2.587  34.67  597
2.569  34.92  292
1.831  49.80  211
1.815  50.27  205
1.560  59.21  205
1.495  62.09  162

---

Record 11
Starting from a PBE-relaxed structure, the powder XRD pattern of TmPa2C3 was computed for Cu Kα, 1.54184 Å.
Peak positions follow from Bragg's law for the DFT cell and can differ from measured ones.

Structural model:
Unit cell a=6.2016 b=6.2016 c=6.2016 alpha=146.10 beta=131.92 gamma=60.13
Fractional coordinates of all 6 atoms:
Tm1 0.0000 0.0000 0.0000
Pa1 0.3344 0.3344 0.0000
Pa2 0.6656 0.6656 0.0000
C1 0.1773 0.6773 0.5000
C2 0.5000 0.0000 0.5000
C3 0.8227 0.3227 0.5000

Main lines, in order of rising 2θ (10° ≤ 2θ ≤ 90°):
d_spacing  2theta  Rel. int.
2.941  30.40  1000
2.920  30.62  983
2.544  35.29  838
2.526  35.54  412
1.808  50.47  153
1.792  50.95  593
1.537  60.20  310
1.528  60.61  456
1.470  63.24  158
1.161  83.20  193

---

Record 12
Starting from a PBE-relaxed structure, the powder XRD pattern of Tm2PaWC4 was computed for Cu Kα, 1.54184 Å.
Peak positions follow from Bragg's law for the DFT cell and can differ from measured ones.

Structural model:
Unit cell a=6.1600 b=6.1600 c=12.1395 alpha=90.00 beta=90.00 gamma=147.62
Fractional coordinates of all 16 atoms:
Tm1 0.1300 0.8700 0.5371
Tm2 0.1300 0.8700 0.9629
Tm3 0.8700 0.1300 0.0371
Tm4 0.8700 0.1300 0.4629
Pa1 0.3920 0.6080 0.7500
Pa2 0.6080 0.3920 0.2500
W1 0.3449 0.6551 0.2500
W2 0.6551 0.3449 0.7500
C1 0.0516 0.9484 0.7500
C2 0.2330 0.7670 0.1323
C3 0.2330 0.7670 0.3677
C4 0.5000 0.5000 0.0000
C5 0.5000 0.5000 0.5000
C6 0.7670 0.2330 0.6323
C7 0.7670 0.2330 0.8677
C8 0.9484 0.0516 0.2500

Main lines, in order of rising 2θ (10° ≤ 2θ ≤ 90°):
d_spacing  2theta  Rel. int.
3.340  26.69  226
3.035  29.43  491
2.958  30.21  502
2.898  30.85  1000
2.533  35.44  182
2.383  37.76  808
2.118  42.69  288
1.855  49.10  187
1.772  51.59  206
1.717  53.35  156